[1]
Computed powder XRD pattern of CePu2 for a wavelength of 1.5418 Å, from the GGA-PBE geometry in Alexandria.
Kinematic intensities with the Lorentz-polarization factor, no thermal factor.

Main lines, in order of falling intensity (10° ≤ 2θ ≤ 90°):
2theta  d (Å)  I (rel.)
35.41  2.535  100.0
14.49  6.114  76.6
39.36  2.289  68.7
60.20  1.537  40.1
29.22  3.057  33.6
49.76  1.832  31.6
68.81  1.364  29.8
87.51  1.115  29.8

Crystal structure
```
CePu2
1.0
3.2376 0.0000 0.0000
0.0000 3.2376 0.0000
0.0000 0.0000 12.2271
Ce Pu
2 4
Cartesian
0.0000 0.0000 0.0000
1.6188 1.6188 6.1136
0.0000 0.0000 3.5265
0.0000 0.0000 8.7006
1.6188 1.6188 2.5870
1.6188 1.6188 9.6401
```

***

[2]
Computed powder XRD pattern of Ce4PuRh4 for a wavelength of 1.5418 Å, from the GGA-PBE geometry in Alexandria.
Kinematic intensities with the Lorentz-polarization factor, no thermal factor.

Main lines, in order of falling intensity (10° ≤ 2θ ≤ 90°):
2theta  d (Å)  I (rel.)
31.64  2.828  100.0
45.51  1.993  73.0
31.85  2.810  49.3
56.48  1.629  38.2
45.35  2.000  36.7
27.37  3.258  34.1
83.90  1.153  24.5
18.65  4.758  20.8

Crystal structure
```
Ce4PuRh4
1.0
-4.4712 4.4712 2.8101
4.4712 -4.4712 2.8101
4.4712 4.4712 -2.8101
Ce Pu Rh
4 1 4
Cartesian
2.7037 0.8751 0.0000
3.5961 -1.7675 2.8101
0.8751 6.2387 0.0000
1.7675 3.5961 2.8101
0.0000 0.0000 2.8101
5.3976 1.8428 0.0000
1.8428 3.5449 0.0000
2.6284 0.9263 2.8101
-0.9263 2.6284 2.8101
```

***

[3]
Computed powder XRD pattern of CePu4Rh4 for a wavelength of 1.5418 Å, from the GGA-PBE geometry in Alexandria.
Kinematic intensities with the Lorentz-polarization factor, no thermal factor.

Main lines, in order of falling intensity (10° ≤ 2θ ≤ 90°):
2theta  d (Å)  I (rel.)
32.30  2.771  100.0
34.17  2.624  89.2
41.41  2.180  82.9
35.72  2.514  78.1
37.90  2.374  77.6
29.10  3.069  64.0
37.21  2.416  45.2
43.35  2.087  34.2

Crystal structure
```
CePu4Rh4
1.0
8.7635 0.0000 0.0000
0.0000 8.7635 0.0000
0.0000 0.0000 4.9328
Ce Pu Rh
2 8 8
Cartesian
2.1909 2.1909 1.2332
6.5726 6.5726 3.6996
0.8280 7.3471 3.1104
1.4164 5.2098 0.6440
2.9653 7.9355 0.6440
3.5538 5.7982 3.1104
5.2098 2.9653 1.8224
5.7982 0.8280 4.2889
7.3471 3.5538 4.2889
7.9355 1.4164 1.8224
0.4997 1.1977 4.1877
1.1977 3.8821 3.2116
3.1841 0.4997 3.2116
3.8821 3.1841 4.1877
4.8815 5.5794 0.7451
5.5794 8.2638 1.7213
7.5659 4.8815 1.7213
8.2638 7.5659 0.7451
```

***

[4]
Computed powder XRD pattern of Ce6PuRh for a wavelength of 1.5418 Å, from the GGA-PBE geometry in Alexandria.
Kinematic intensities with the Lorentz-polarization factor, no thermal factor.

Main lines, in order of falling intensity (10° ≤ 2θ ≤ 90°):
2theta  d (Å)  I (rel.)
33.86  2.647  100.0
34.04  2.634  51.1
18.86  4.705  42.2
49.01  1.859  39.5
48.54  1.876  33.3
16.94  5.233  29.2
44.57  2.033  24.1
30.74  2.908  23.4

Crystal structure
```
Ce6PuRh
1.0
6.6996 0.0000 0.0000
0.0000 10.4652 0.0000
-1.6764 0.0000 6.3921
Ce Pu Rh
12 2 2
Cartesian
1.0095 1.6903 1.5044
1.0095 8.7749 1.5044
1.2972 5.2326 1.3733
0.3762 0.0000 5.0188
0.6639 3.5423 4.8877
0.6639 6.9229 4.8877
4.3593 3.5423 1.5044
4.3593 6.9229 1.5044
4.6470 0.0000 1.3733
3.7260 5.2326 5.0188
4.0137 1.6903 4.8877
4.0137 8.7749 4.8877
0.0000 0.0000 0.0000
3.3498 5.2326 0.0000
-0.8382 5.2326 3.1961
2.5116 0.0000 3.1961
```

***

[5]
Computed powder XRD pattern of Ce4Pu3S8 for a wavelength of 1.5418 Å, from the GGA-PBE geometry in Alexandria.
Kinematic intensities with the Lorentz-polarization factor, no thermal factor.

Main lines, in order of falling intensity (10° ≤ 2θ ≤ 90°):
2theta  d (Å)  I (rel.)
31.69  2.824  100.0
27.35  3.260  80.0
45.40  1.998  61.0
53.80  1.704  27.0
15.69  5.648  17.3
75.25  1.263  16.5
22.26  3.993  15.7
53.93  1.700  13.4

Crystal structure
```
Ce4Pu3S8
1.0
5.6440 -5.6508 0.0000
5.6440 5.6508 0.0000
-5.6193 0.0000 5.6465
Ce Pu S
4 3 8
Cartesian
0.0000 0.0000 0.0000
2.8220 2.8254 0.0000
2.8220 -2.8254 0.0000
2.8344 0.0000 2.8233
-2.8096 0.0000 2.8233
0.0124 2.8254 2.8233
0.0124 -2.8254 2.8233
2.8344 2.8471 2.8233
0.0004 0.0000 2.8264
-2.7869 0.0000 5.6257
5.6440 2.8184 0.0000
5.6440 -2.8184 0.0000
8.4557 0.0000 0.0208
5.6684 0.0000 2.8202
2.8344 -2.8471 2.8233
```

***

[6]
Computed powder XRD pattern of Ce2Pu2S7 for a wavelength of 1.5418 Å, from the GGA-PBE geometry in Alexandria.
Kinematic intensities with the Lorentz-polarization factor, no thermal factor.

Main lines, in order of falling intensity (10° ≤ 2θ ≤ 90°):
2theta  d (Å)  I (rel.)
23.65  3.762  100.0
39.10  2.304  67.8
46.20  1.965  51.6
27.37  3.258  24.5
70.84  1.330  22.2
62.09  1.495  21.7
88.84  1.101  17.1
75.86  1.254  16.3

Crystal structure
```
Ce2Pu2S7
1.0
0.0000 6.5164 6.5164
6.5164 0.0000 6.5164
6.5164 6.5164 0.0000
Ce Pu S
4 4 14
Cartesian
0.0000 0.0000 0.0000
3.2582 3.2582 0.0000
3.2582 0.0000 3.2582
0.0000 3.2582 3.2582
6.5164 3.2582 3.2582
3.2582 6.5164 3.2582
3.2582 3.2582 6.5164
6.5164 6.5164 6.5164
1.6291 1.6291 1.6291
4.8873 4.8873 1.8722
4.8873 1.8722 4.8873
7.9025 4.8873 4.8873
8.1455 8.1455 5.1304
8.1455 5.1304 8.1455
11.1607 8.1455 8.1455
1.8722 4.8873 4.8873
4.8873 7.9025 4.8873
4.8873 4.8873 7.9025
5.1304 8.1455 8.1455
8.1455 11.1607 8.1455
8.1455 8.1455 11.1607
11.4037 11.4037 11.4037
```

***

[7]
Computed powder XRD pattern of Ce3PuTh2S6 for a wavelength of 1.5418 Å, from the GGA-PBE geometry in Alexandria.
Kinematic intensities with the Lorentz-polarization factor, no thermal factor.

Main lines, in order of falling intensity (10° ≤ 2θ ≤ 90°):
2theta  d (Å)  I (rel.)
31.51  2.839  100.0
27.23  3.275  67.9
45.07  2.011  36.9
45.24  2.004  36.5
53.58  1.710  26.5
27.10  3.290  22.9
56.17  1.637  19.2
74.88  1.268  16.5

Crystal structure
```
Ce3PuTh2S6
1.0
3.4732 -6.0099 0.0000
3.4732 6.0099 0.0000
-2.3060 0.0000 6.5808
Ce Pu Th S
3 1 2 6
Cartesian
0.0000 0.0000 0.0000
3.4732 2.0173 0.0000
3.4732 -2.0173 0.0000
2.3202 0.0000 3.2904
2.3202 4.0088 3.2904
2.3202 -4.0088 3.2904
1.1774 1.9753 1.6518
0.0405 0.0000 4.9375
1.1774 -1.9753 1.6518
3.4631 1.9753 4.9290
4.6000 0.0000 1.6433
3.4631 -1.9753 4.9290
```

***

[8]
Computed powder XRD pattern of Ce2TmPuS4 for a wavelength of 1.5418 Å, from the GGA-PBE geometry in Alexandria.
Kinematic intensities with the Lorentz-polarization factor, no thermal factor.

Main lines, in order of falling intensity (10° ≤ 2θ ≤ 90°):
2theta  d (Å)  I (rel.)
31.98  2.798  100.0
27.69  3.222  64.3
45.66  1.987  36.7
46.07  1.970  35.9
27.37  3.258  22.2
54.42  1.686  21.4
57.22  1.610  12.5
66.87  1.399  11.7

Crystal structure
```
Ce2TmPuS4
1.0
6.8332 0.0000 0.0000
0.0000 3.9363 0.0000
-2.2709 0.0000 6.5170
Ce Tm Pu S
2 1 1 4
Cartesian
0.0000 0.0000 0.0000
3.4166 1.9682 0.0000
-1.1354 1.9682 3.2585
2.2812 0.0000 3.2585
-0.0289 0.0000 4.8007
1.1110 1.9682 1.7006
3.4513 1.9682 4.8163
4.5912 0.0000 1.7163
```

***

[9]
Computed powder XRD pattern of Ce3TmPu2S6 for a wavelength of 1.5418 Å, from the GGA-PBE geometry in Alexandria.
Kinematic intensities with the Lorentz-polarization factor, no thermal factor.

Main lines, in order of falling intensity (10° ≤ 2θ ≤ 90°):
2theta  d (Å)  I (rel.)
31.90  2.806  100.0
27.57  3.235  66.1
45.64  1.988  36.6
45.83  1.980  36.3
54.27  1.690  33.0
27.42  3.252  22.7
56.92  1.618  19.0
75.68  1.257  16.4

Crystal structure
```
Ce3TmPu2S6
1.0
3.4289 -5.9409 0.0000
3.4289 5.9409 0.0000
-2.2891 0.0000 6.5043
Ce Tm Pu S
3 1 2 6
Cartesian
0.0000 0.0000 0.0000
3.4289 1.9970 0.0000
3.4289 -1.9970 0.0000
2.2844 0.0000 3.2522
2.2844 3.9650 3.2522
2.2844 -3.9650 3.2522
1.1583 1.9546 1.7005
0.0297 0.0000 4.8181
1.1583 -1.9546 1.7005
3.4105 1.9546 4.8038
4.5390 0.0000 1.6862
3.4105 -1.9546 4.8038
```

***

[10]
Computed powder XRD pattern of Ce2Pu3Sb4 for a wavelength of 1.5418 Å, from the GGA-PBE geometry in Alexandria.
Kinematic intensities with the Lorentz-polarization factor, no thermal factor.

Main lines, in order of falling intensity (10° ≤ 2θ ≤ 90°):
2theta  d (Å)  I (rel.)
31.28  2.860  100.0
31.70  2.823  97.5
37.41  2.404  96.9
33.00  2.715  81.0
34.27  2.617  65.7
38.58  2.334  53.7
32.69  2.740  30.6
54.23  1.691  23.9

Crystal structure
```
Ce2Pu3Sb4
1.0
5.6045 0.0000 0.0000
0.6364 5.8901 0.0000
1.5764 1.1228 7.3990
Ce Pu Sb
2 3 4
Cartesian
1.8903 2.3634 2.4323
5.9269 4.6495 4.9667
2.0356 1.6605 5.8050
2.8022 0.0000 0.0000
5.7817 5.3524 1.5940
3.1830 4.5363 6.7291
2.9856 5.2447 3.1539
4.8317 1.7682 4.2451
4.6343 2.4767 0.6699
```

***

[11]
Computed powder XRD pattern of Ce2Pu3Sb3 for a wavelength of 1.5418 Å, from the GGA-PBE geometry in Alexandria.
Kinematic intensities with the Lorentz-polarization factor, no thermal factor.

Main lines, in order of falling intensity (10° ≤ 2θ ≤ 90°):
2theta  d (Å)  I (rel.)
35.36  2.539  100.0
25.73  3.462  96.1
45.77  1.983  59.7
22.41  3.968  53.3
12.49  7.089  47.6
48.35  1.882  41.9
57.86  1.594  36.5
33.44  2.680  36.5

Crystal structure
```
Ce2Pu3Sb3
1.0
8.1860 0.0000 0.0000
-4.0930 7.0893 0.0000
0.0000 0.0000 7.9353
Ce Pu Sb
4 6 6
Cartesian
0.0000 4.7262 0.0000
0.0000 4.7262 3.9677
4.0930 2.3631 0.0000
4.0930 2.3631 3.9677
-0.6744 1.1681 1.9838
-3.4186 5.9212 5.9515
1.3488 0.0000 1.9838
0.6744 1.1681 5.9515
6.8372 0.0000 5.9515
3.4186 5.9212 1.9838
-1.7856 3.0928 5.9515
-2.3074 3.9965 1.9838
3.5712 0.0000 5.9515
1.7856 3.0928 1.9838
4.6148 0.0000 1.9838
2.3074 3.9965 5.9515
```

***

[12]
Computed powder XRD pattern of CePu5Sb3 for a wavelength of 1.5418 Å, from the GGA-PBE geometry in Alexandria.
Kinematic intensities with the Lorentz-polarization factor, no thermal factor.

Main lines, in order of falling intensity (10° ≤ 2θ ≤ 90°):
2theta  d (Å)  I (rel.)
33.43  2.680  100.0
34.03  2.635  88.8
33.08  2.708  51.5
34.14  2.626  45.3
48.28  1.885  34.4
60.04  1.541  26.1
68.46  1.371  25.8
59.32  1.558  19.3

Crystal structure
```
CePu5Sb3
1.0
6.3790 0.0000 0.0000
0.0000 8.1230 4.6268
0.0000 -8.1230 4.6268
Ce Pu Sb
2 10 6
Cartesian
1.5428 0.0000 0.0000
4.8362 0.0000 0.0000
0.0000 -2.8015 1.6371
0.0000 2.8015 1.6371
0.0000 0.0000 6.1031
1.6091 -2.7018 4.6767
1.6091 2.7018 4.6767
3.1895 -5.4937 3.1533
3.1895 0.0000 3.0109
3.1895 5.4937 3.1533
4.7699 -2.7018 4.6767
4.7699 2.7018 4.6767
0.0000 -5.4987 3.1571
0.0000 0.0000 2.9997
0.0000 5.4987 3.1571
3.1895 -2.7715 1.6178
3.1895 2.7715 1.6178
3.1895 0.0000 6.1243
```

***

[13]
Computed powder XRD pattern of CePu4Sb2 for a wavelength of 1.5418 Å, from the GGA-PBE geometry in Alexandria.
Kinematic intensities with the Lorentz-polarization factor, no thermal factor.

Main lines, in order of falling intensity (10° ≤ 2θ ≤ 90°):
2theta  d (Å)  I (rel.)
30.42  2.938  100.0
32.50  2.755  84.3
22.11  4.020  74.9
45.11  2.010  69.0
38.78  2.322  68.4
28.58  3.123  53.6
42.23  2.140  37.6
31.46  2.843  26.5

Crystal structure
```
CePu4Sb2
1.0
5.5100 0.0000 0.0000
-0.0016 5.8766 0.0000
-2.7412 -2.9303 5.6868
Ce Pu Sb
1 4 2
Cartesian
0.0000 0.0000 0.0000
-0.0008 2.9383 0.0000
-0.0025 2.9474 3.2138
2.7550 0.0000 0.0000
2.7698 -0.0011 2.4730
0.0145 0.0088 4.0570
2.7528 2.9375 1.6298
```